Entry 1:
Starting from the GGA-PBE geometry in the Materials Project, the powder diffraction line list of PrIn2Ir was calculated for Cu Kα, 1.54184 Å.

Top 10 peaks for 2θ from 10° to 80°, low angle first:
hkl 0 2 0, 2θ = 16.95°, intensity 27; hkl 1 1 2, 2θ = 31.13°, intensity 93; hkl 1 3 1, 2θ = 34.53°, intensity 100; hkl 0 4 1, 2θ = 36.10°, intensity 38; hkl 1 3 2, 2θ = 39.73°, intensity 35; hkl 1 1 3, 2θ = 40.12°, intensity 48; hkl 2 0 0, 2θ = 40.61°, intensity 47; hkl 0 4 2, 2θ = 41.12°, intensity 21; hkl 2 4 1, 2θ = 55.45°, intensity 22; hkl 1 7 0, 2θ = 65.94°, intensity 22

Structural model:
```
data_PrIn2Ir
_chemical_formula_sum 'Pr4 In8 Ir4'
_symmetry_space_group_name_H-M 'C m c m'
_symmetry_Int_Tables_number 63
_symmetry_space_group_name_Hall '-C 2c 2'
_cell_length_a 4.443
_cell_length_b 10.463
_cell_length_c 8.072
_cell_angle_alpha 90.00
_cell_angle_beta 90.00
_cell_angle_gamma 90.00
loop_
_atom_site_label
_atom_site_fract_x
_atom_site_fract_y
_atom_site_fract_z
Pr1 0.000 0.070 0.250
In1 0.000 0.355 0.053
Ir1 0.000 0.221 0.750
```

Entry 2:
Starting from the GGA-PBE geometry in the Materials Project, the powder diffraction line list of CaMg14Fe was calculated for Cu Kα, 1.54184 Å.

Top 10 peaks for 2θ from 10° to 80°, low angle first:
hkl 0 0 4, 2θ = 31.98°, intensity 13; hkl 0 2 2, 2θ = 32.20°, intensity 25; hkl 4 0 0, 2θ = 35.02°, intensity 38; hkl 2 0 4, 2θ = 36.59°, intensity 51; hkl 2 2 2, 2θ = 36.78°, intensity 100; hkl 4 2 2, 2θ = 48.31°, intensity 15; hkl 0 2 6, 2θ = 57.14°, intensity 17; hkl 6 2 2, 2θ = 63.97°, intensity 17; hkl 4 2 6, 2θ = 68.80°, intensity 18; hkl 2 4 4, 2θ = 70.16°, intensity 13

Structural model:
```
data_CaMg14Fe
_chemical_formula_sum 'Ca2 Mg28 Fe2'
_symmetry_space_group_name_H-M 'A m m 2'
_symmetry_Int_Tables_number 38
_cell_length_a 10.249
_cell_length_b 6.405
_cell_length_c 11.194
_cell_angle_alpha 90.00
_cell_angle_beta 90.00
_cell_angle_gamma 90.00
loop_
_symmetry_equiv_pos_as_xyz
'x,y,z'
'-x,-y,z'
'-x,y,z'
'x,-y,z'
'x,y+1/2,z+1/2'
'-x,-y+1/2,z+1/2'
'-x,y+1/2,z+1/2'
'x,-y+1/2,z+1/2'
loop_
_atom_site_label
_atom_site_fract_x
_atom_site_fract_y
_atom_site_fract_z
Ca1 0.000 0.000 0.000
Mg1 0.000 0.240 0.252
Mg2 0.233 0.000 0.657
Mg3 0.249 0.240 0.414
Mg4 0.260 0.000 0.166
Mg5 0.500 0.000 0.498
Mg6 0.500 0.000 0.996
Mg7 0.500 0.246 0.748
Fe1 0.000 0.000 0.487
```

Entry 3:
Starting from the GGA-PBE geometry in the Materials Project, the powder diffraction line list of KC2 was calculated for Cu Kα, 1.54184 Å.

Top 10 peaks for 2θ from 10° to 80°, low angle first:
hkl 1 0 1, 2θ = 23.55°, intensity 35; hkl 0 0 2, 2θ = 23.89°, intensity 56; hkl 1 1 0, 2θ = 28.81°, intensity 100; hkl 1 1 2, 2θ = 37.76°, intensity 58; hkl 2 0 0, 2θ = 41.20°, intensity 32; hkl 1 0 3, 2θ = 41.81°, intensity 28; hkl 2 1 1, 2θ = 48.00°, intensity 12; hkl 2 0 2, 2θ = 48.18°, intensity 25; hkl 2 1 3, 2θ = 60.15°, intensity 16; hkl 3 1 2, 2θ = 72.82°, intensity 12

Structural model:
```
data_KC2
_chemical_formula_sum 'K2 C4'
_symmetry_space_group_name_H-M 'I 4/m m m'
_symmetry_Int_Tables_number 139
_symmetry_space_group_name_Hall '-I 4 2'
_cell_length_a 4.382
_cell_length_b 4.382
_cell_length_c 7.451
_cell_angle_alpha 90.00
_cell_angle_beta 90.00
_cell_angle_gamma 90.00
loop_
_atom_site_label
_atom_site_fract_x
_atom_site_fract_y
_atom_site_fract_z
K1 0.000 0.000 0.000
C1 0.000 0.000 0.415
```